The following is a calculated powder diffraction line list of LiTb3Al3. It was derived from a DFT-relaxed cell (PBE, Alexandria), using Cu Kα, 1.54184 Å.
Intensities are scaled so that the largest is 100.

Structural model:
```
data_LiTb3Al3
_space_group_name_H-M_alt 'P -1'
_space_group_IT_number 2
_space_group_name_Hall '-P 1'
_cell_length_a 6.4309
_cell_length_b 6.7899
_cell_length_c 7.6877
_cell_angle_alpha 96.18
_cell_angle_beta 97.59
_cell_angle_gamma 103.13
loop_
_atom_site_label
_atom_site_type_symbol
_atom_site_fract_x
_atom_site_fract_y
_atom_site_fract_z
Li1 Li 0.0041 0.1517 0.1555
Tb1 Tb 0.1024 0.2723 0.5366
Tb2 Tb 0.3757 0.1935 0.9332
Tb3 Tb 0.4324 0.7853 0.6136
Al1 Al 0.1606 0.5471 0.8918
Al2 Al 0.1858 0.8563 0.1881
Al3 Al 0.2999 0.5132 0.2508
```

Most intense lines, 5° ≤ 2θ ≤ 70°, low angle first:
d/Å  2theta  intensity
3.272  27.25  73
2.971  30.08  57
2.667  33.60  61
2.581  34.76  100
2.520  35.62  74
2.472  36.34  65

The following is a calculated powder diffraction line list of Sm2Sc2Sb2H. It was derived from a DFT-relaxed cell (PBE, Alexandria), using Cu Kα, 1.54184 Å.
Intensities are scaled so that the largest is 100.

Structural model:
```
data_Sm2Sc2Sb2H
_space_group_name_H-M_alt 'I 4/m m m'
_space_group_IT_number 139
_space_group_name_Hall '-I 4 2'
_cell_length_a 4.3872
_cell_length_b 4.3872
_cell_length_c 16.5546
_cell_angle_alpha 90.00
_cell_angle_beta 90.00
_cell_angle_gamma 90.00
loop_
_atom_site_label
_atom_site_type_symbol
_atom_site_fract_x
_atom_site_fract_y
_atom_site_fract_z
Sm1 Sm 0.0000 0.0000 0.1774
Sc1 Sc 0.0000 0.5000 0.0000
Sb1 Sb 0.0000 0.0000 0.3717
H1 H 0.0000 0.0000 0.0000
```

Most intense lines, 5° ≤ 2θ ≤ 70°, low angle first:
d/Å  2theta  intensity
3.102  28.78  100
2.905  30.78  65
2.643  33.92  92
2.482  36.19  87
2.194  41.15  74
1.688  54.35  48

The following is a calculated powder diffraction line list of Pm2SnPd7. It was derived from a DFT-relaxed cell (PBE, Alexandria), using Cu Kα, 1.54184 Å.
Intensities are scaled so that the largest is 100.

Structural model:
```
data_Pm2SnPd7
_space_group_name_H-M_alt 'F m -3 m'
_space_group_IT_number 225
_space_group_name_Hall '-F 4 2 3'
_cell_length_a 9.8214
_cell_length_b 9.8214
_cell_length_c 9.8214
_cell_angle_alpha 90.00
_cell_angle_beta 90.00
_cell_angle_gamma 90.00
loop_
_atom_site_label
_atom_site_type_symbol
_atom_site_fract_x
_atom_site_fract_y
_atom_site_fract_z
Pm1 Pm 0.2500 0.2500 0.2500
Sn1 Sn 0.0000 0.0000 0.0000
Pd1 Pd 0.0000 0.0000 0.2490
Pd2 Pd 0.0000 0.0000 0.5000
```

Most intense lines, 5° ≤ 2θ ≤ 70°, low angle first:
d/Å  2theta  intensity
3.472  25.65  34
2.835  31.56  74
2.455  36.60  100
1.736  52.72  70
1.481  62.75  30
1.418  65.89  23